The following is a theoretical powder XRD pattern of KPaCl4. It was derived from DFT lattice parameters and positions (GGA-PBE), using copper Kα.
Kinematic intensities with the Lorentz-polarization factor, no thermal factor.

Structure:
a b c (Å): 13.416 3.881 8.261
angles (deg): 90.00 104.31 90.00
Space group C2/m (No. 12)
Unique sites:
K (0.000, 0.000, 0.000)
Pa (0.000, 0.500, 0.500)
Cl (0.116, 0.500, 0.817)
Cl (0.121, 0.000, 0.397)

The 8 most intense peaks (15 to 90 degrees two-theta), in order of falling intensity:
31.1°, d = 2.875 Å, intensity 100, (3 1 -1)
25.7°, d = 3.467 Å, intensity 75, (1 1 -1)
15.3°, d = 5.795 Å, intensity 67, (2 0 -1)
28.9°, d = 3.085 Å, intensity 54, (2 0 2)
30.9°, d = 2.894 Å, intensity 45, (4 0 -2)
40.2°, d = 2.244 Å, intensity 40, (1 1 -3)
23.9°, d = 3.718 Å, intensity 39, (1 1 0)
22.2°, d = 4.002 Å, intensity 38, (0 0 2)